[1]
The following is a theoretical powder X-ray diffraction pattern of LiMn2Cr2O8. It was derived from a crystal structure in the Materials Project, relaxed with PBE+U, using Cu Kα X-rays.
No peak broadening, texture or thermal motion is included.

Crystal structure
Lattice parameters (Å, degrees): 5.863 10.119 10.297 109.17 90.08 90.38
Space group P1 (No. 1)
Symmetry-distinct sites (fractional):
Li 0.000 0.000 0.000 (multiplicity 1)
Li 0.001 0.495 0.488 (multiplicity 1)
Li 0.501 0.747 0.250 (multiplicity 1)
Li 0.737 0.493 0.751 (multiplicity 1)
Mn 0.006 0.999 0.496 (multiplicity 1)
Mn 0.246 0.249 0.501 (multiplicity 1)
Mn 0.249 0.743 0.994 (multiplicity 1)
Mn 0.499 0.000 0.999 (multiplicity 1)
Mn 0.500 0.498 0.496 (multiplicity 1)
Mn 0.749 0.747 0.998 (multiplicity 1)
Mn 0.750 0.250 0.998 (multiplicity 1)
Mn 0.998 0.498 0.002 (multiplicity 1)
Cr 0.001 0.747 0.248 (multiplicity 1)
Cr 0.004 0.245 0.749 (multiplicity 1)
Cr 0.251 0.752 0.501 (multiplicity 1)
Cr 0.255 0.255 0.000 (multiplicity 1)
Cr 0.497 0.248 0.248 (multiplicity 1)
Cr 0.498 0.750 0.751 (multiplicity 1)
Cr 0.741 0.238 0.496 (multiplicity 1)
Cr 0.752 0.755 0.504 (multiplicity 1)
O 0.001 0.145 0.892 (multiplicity 1)
O 0.003 0.871 0.600 (multiplicity 1)
O 0.004 0.850 0.105 (multiplicity 1)
O 0.005 0.130 0.395 (multiplicity 1)
O 0.219 0.371 0.890 (multiplicity 1)
O 0.223 0.129 0.610 (multiplicity 1)
O 0.226 0.631 0.113 (multiplicity 1)
O 0.228 0.865 0.384 (multiplicity 1)
O 0.273 0.370 0.388 (multiplicity 1)
O 0.274 0.125 0.107 (multiplicity 1)
O 0.274 0.869 0.889 (multiplicity 1)
O 0.275 0.627 0.608 (multiplicity 1)
O 0.494 0.148 0.388 (multiplicity 1)
O 0.497 0.858 0.101 (multiplicity 1)
O 0.500 0.348 0.110 (multiplicity 1)
O 0.500 0.369 0.603 (multiplicity 1)
O 0.502 0.634 0.395 (multiplicity 1)
O 0.504 0.129 0.897 (multiplicity 1)
O 0.504 0.642 0.882 (multiplicity 1)
O 0.505 0.847 0.612 (multiplicity 1)
O 0.723 0.622 0.614 (multiplicity 1)
O 0.724 0.370 0.389 (multiplicity 1)
O 0.725 0.128 0.110 (multiplicity 1)
O 0.725 0.871 0.890 (multiplicity 1)
O 0.772 0.632 0.114 (multiplicity 1)
O 0.778 0.866 0.384 (multiplicity 1)
O 0.782 0.370 0.883 (multiplicity 1)
O 0.785 0.126 0.607 (multiplicity 1)
O 0.991 0.626 0.894 (multiplicity 1)
O 0.992 0.354 0.611 (multiplicity 1)
O 0.996 0.369 0.102 (multiplicity 1)
O 0.998 0.646 0.391 (multiplicity 1)

The 10 most intense peaks (15° ≤ 2θ ≤ 90°), low angle first:
Position (°2θ)  intensity  index
18.24  45  0 0 2
18.53  100  1 1 -1
35.79  16  2 -2 0
35.92  8  1 3 1
36.05  8  2 2 0
43.31  26  -2 2 2
43.52  26  0 4 -4
43.63  25  2 2 2
62.74  13  2 -2 6
63.46  13  4 0 0

=====

[2]
The following is a theoretical powder X-ray diffraction pattern of Li2Mn3CrO8. It was derived from a crystal structure in the Materials Project, relaxed with PBE+U, using Cu Kα X-rays.
No peak broadening, texture or thermal motion is included.

Crystal structure
Lattice parameters (Å, degrees): 5.804 5.936 5.972 119.42 90.21 118.97
Space group P-1 (No. 2)
Symmetry-distinct sites (fractional):
Li 0.000 0.000 0.000 (multiplicity 1)
Li 0.500 0.500 0.000 (multiplicity 1)
Mn 0.000 0.000 0.500 (multiplicity 1)
Mn 0.000 0.500 0.500 (multiplicity 1)
Mn 0.500 0.000 0.500 (multiplicity 1)
Cr 0.500 0.500 0.500 (multiplicity 1)
O 0.220 0.058 0.696 (multiplicity 2)
O 0.256 0.564 0.728 (multiplicity 2)
O 0.262 0.439 0.296 (multiplicity 2)
O 0.268 0.950 0.296 (multiplicity 2)

The 10 most intense peaks (15° ≤ 2θ ≤ 90°), low angle first:
Position (°2θ)  intensity  index
17.98  100  0 0 1
34.97  30  0 2 -1
35.94  11  2 0 -1
36.92  9  0 2 -2
42.12  18  0 2 0
43.40  19  2 0 -2
43.57  9  2 -2 2
47.01  13  -2 2 1
57.07  6  2 -2 3
61.81  10  -2 2 2